Record 1
# Li2SmAsN
Theoretical X-ray powder pattern, Cu Kα, 1.54184 Å. Input: a PBE-relaxed structure.

The 8 most intense peaks (5° ≤ 2θ ≤ 70°), by intensity:
Position (°2θ), Rel. int., index
18.78, 100, 0 0 2
35.59, 98, 2 0 2
29.95, 86, 2 0 0
49.19, 42, 2 0 4
47.18, 39, 2 2 2
42.87, 36, 2 2 0
58.66, 33, 2 2 4
21.06, 28, 1 1 0

Cell and atoms:
```
data_Li2SmAsN
_chemical_formula_sum 'Li8 Sm4 As4 N4'
_cell_length_a 5.966
_cell_length_b 5.966
_cell_length_c 9.451
_cell_angle_alpha 90.00
_cell_angle_beta 90.00
_cell_angle_gamma 90.00
_space_group_name_H-M_alt 'I 4/m c m'
_space_group_IT_number 140
_space_group_name_Hall '-I 4 2c'
loop_
_atom_site_label
_atom_site_type_symbol
_atom_site_fract_x
_atom_site_fract_y
_atom_site_fract_z
Li1 Li 0.204 0.296 0.000
Sm1 Sm 0.000 0.000 0.250
As1 As 0.000 0.500 0.250
N1 N 0.000 0.000 0.000
```

Record 2
# Li2ThAsN4
Theoretical X-ray powder pattern, Cu Kα, 1.54184 Å. Input: a PBE-relaxed structure.

The 8 most intense peaks (5° ≤ 2θ ≤ 70°), by intensity:
Position (°2θ), Rel. int., index
23.30, 100, 1 1 0
36.26, 72, 1 1 2
21.38, 49, 1 0 1
43.55, 42, 2 0 2
33.19, 33, 2 0 0
61.31, 33, 3 1 2
39.82, 28, 2 1 1
27.38, 28, 0 0 2

Cell and atoms:
```
data_Li2ThAsN4
_chemical_formula_sum 'Li4 Th2 As2 N8'
_cell_length_a 5.399
_cell_length_b 5.399
_cell_length_c 6.514
_cell_angle_alpha 90.00
_cell_angle_beta 90.00
_cell_angle_gamma 90.00
_space_group_name_H-M_alt 'I -4 2 m'
_space_group_IT_number 121
_space_group_name_Hall 'I -4 2'
loop_
_atom_site_label
_atom_site_type_symbol
_atom_site_fract_x
_atom_site_fract_y
_atom_site_fract_z
Li1 Li 0.000 0.500 0.250
Th1 Th 0.000 0.000 0.000
As1 As 0.000 0.000 0.500
N1 N 0.199 0.199 0.344
```

Record 3
# Na5LiAs2
Theoretical X-ray powder pattern, Cu Kα, 1.54184 Å. Input: a PBE-relaxed structure.

The 8 most intense peaks (5° ≤ 2θ ≤ 70°), by intensity:
Position (°2θ), Rel. int., index
34.97, 100, 1 1 0
19.96, 67, 0 0 4
40.57, 53, 0 0 8
32.21, 51, 1 0 5
25.03, 49, 1 0 3
40.88, 37, 1 0 7
20.60, 35, 1 0 1
60.95, 27, 1 0 11

Cell and atoms:
```
data_Na5LiAs2
_chemical_formula_sum 'Na10 Li2 As4'
_cell_length_a 5.1315
_cell_length_b 5.1315
_cell_length_c 17.8086
_cell_angle_alpha 90.00
_cell_angle_beta 90.00
_cell_angle_gamma 120.00
_space_group_name_H-M_alt 'P 63/m m c'
_space_group_IT_number 194
_space_group_name_Hall '-P 6c 2c'
loop_
_atom_site_label
_atom_site_type_symbol
_atom_site_fract_x
_atom_site_fract_y
_atom_site_fract_z
Na1 Na 0.0000 0.0000 0.1305
Na2 Na 0.3333 0.6667 0.0509
Na3 Na 0.3333 0.6667 0.2500
Li1 Li 0.3333 0.6667 0.7500
As1 As 0.3333 0.6667 0.6170
```

Record 4
# NaLi2As2
Theoretical X-ray powder pattern, Cu Kα, 1.54184 Å. Input: a PBE-relaxed structure.

The 8 most intense peaks (5° ≤ 2θ ≤ 70°), by intensity:
Position (°2θ), Rel. int., index
22.00, 100, 0 0 3
23.62, 60, 1 0 -2
36.00, 56, 1 1 2
32.77, 55, 1 1 -1
39.29, 41, 2 0 0
33.30, 37, 1 1 1
7.29, 36, 0 0 1
52.30, 34, 0 2 0

Cell and atoms:
```
data_NaLi2As2
_chemical_formula_sum 'Na2 Li4 As4'
_cell_length_a 4.597
_cell_length_b 3.498
_cell_length_c 12.143
_cell_angle_alpha 90.00
_cell_angle_beta 93.36
_cell_angle_gamma 90.00
_space_group_name_H-M_alt 'P 1 21/m 1'
_space_group_IT_number 11
_space_group_name_Hall '-P 2yb'
loop_
_atom_site_label
_atom_site_type_symbol
_atom_site_fract_x
_atom_site_fract_y
_atom_site_fract_z
Na1 Na 0.214 0.250 0.267
Li1 Li 0.247 0.750 0.480
Li2 Li 0.299 0.250 0.859
As1 As 0.180 0.750 0.028
As2 As 0.273 0.250 0.647
```

Record 5
# Na2Li3As2
Theoretical X-ray powder pattern, Cu Kα, 1.54184 Å. Input: a PBE-relaxed structure.

The 8 most intense peaks (5° ≤ 2θ ≤ 70°), by intensity:
Position (°2θ), Rel. int., index
22.45, 100, 1 1 0
18.39, 80, 2 0 -1
27.46, 68, 0 0 2
34.60, 63, 3 1 0
37.50, 61, 3 1 -2
24.52, 46, 1 1 -1
41.65, 38, 0 2 0
38.38, 37, 1 1 2

Cell and atoms:
```
data_Na2Li3As2
_chemical_formula_sum 'Na4 Li6 As4'
_cell_length_a 10.423
_cell_length_b 4.338
_cell_length_c 6.981
_cell_angle_alpha 90.00
_cell_angle_beta 111.47
_cell_angle_gamma 90.00
_space_group_name_H-M_alt 'C 1 2/m 1'
_space_group_IT_number 12
_space_group_name_Hall '-C 2y'
loop_
_atom_site_label
_atom_site_type_symbol
_atom_site_fract_x
_atom_site_fract_y
_atom_site_fract_z
Na1 Na 0.157 0.000 0.293
Li1 Li 0.000 0.500 0.500
Li2 Li 0.149 0.500 0.927
As1 As 0.132 0.000 0.729
```

Record 6
# Na2Li2AsO6
Theoretical X-ray powder pattern, Cu Kα, 1.54184 Å. Input: a PBE-relaxed structure.

The 8 most intense peaks (5° ≤ 2θ ≤ 70°), by intensity:
Position (°2θ), Rel. int., index
26.01, 100, 1 0 1
49.06, 50, 1 1 2
20.00, 37, 1 0 0
16.46, 29, 0 0 1
38.91, 20, 1 1 1
57.52, 19, 2 1 1
44.12, 18, 2 0 1
35.00, 18, 1 1 0

Cell and atoms:
```
data_Na2Li2AsO6
_chemical_formula_sum 'Na2 Li2 As1 O6'
_cell_length_a 5.1274
_cell_length_b 5.1274
_cell_length_c 5.3853
_cell_angle_alpha 90.00
_cell_angle_beta 90.00
_cell_angle_gamma 120.00
_space_group_name_H-M_alt 'P -3 1 m'
_space_group_IT_number 162
_space_group_name_Hall '-P 3 2'
loop_
_atom_site_label
_atom_site_type_symbol
_atom_site_fract_x
_atom_site_fract_y
_atom_site_fract_z
Na1 Na 0.3333 0.6667 0.0000
Li1 Li 0.3333 0.6667 0.5000
As1 As 0.0000 0.0000 0.5000
O1 O 0.0000 0.2952 0.3058
```